No. 1
NaMnCuP: calculated powder X-ray diffraction pattern (Cu Kα (λ = 1.5418 Å)), based on a structure optimized by DFT (PBE).
Neutral-atom scattering factors, no anomalous dispersion.

Crystal structure
Unit cell a=3.592 b=3.592 c=10.914 alpha=90.00 beta=90.00 gamma=90.00
Sites, in units of the cell vectors:
Na: 0.250 0.250 0.231
Na: 0.750 0.750 0.769
Mn: 0.250 0.750 0.500
Mn: 0.750 0.250 0.500
Cu: 0.250 0.750 0.000
Cu: 0.750 0.250 0.000
P: 0.250 0.250 0.627
P: 0.750 0.750 0.373

Largest 12 diffraction maxima, by intensity, 2θ = 5–70°:
| hkl | Position (°2θ) | I (rel.) |
| --- | --- | --- |
| 0 0 2 | 16.2 | 100 |
| 1 1 2 | 39.1 | 94 |
| 1 1 4 | 49.0 | 37 |
| 2 0 0 | 50.8 | 30 |
| 0 0 4 | 32.8 | 23 |
| 1 1 6 | 62.8 | 18 |
| 2 0 2 | 53.7 | 16 |
| 1 1 0 | 35.3 | 14 |
| 2 0 4 | 61.8 | 13 |
| 1 0 2 | 29.8 | 12 |
| 1 0 3 | 35.1 | 11 |
| 0 0 6 | 50.2 | 6 |

=====

No. 2
NaYMn2Cu: calculated powder X-ray diffraction pattern (Cu Kα (λ = 1.5418 Å)), based on a structure optimized by DFT (PBE).
Neutral-atom scattering factors, no anomalous dispersion.

Crystal structure
Unit cell a=4.788 b=4.788 c=5.351 alpha=90.00 beta=90.00 gamma=90.00
Sites, in units of the cell vectors:
Na: 0.000 0.000 0.000
Y: 0.000 0.000 0.500
Mn: 0.000 0.500 0.000
Mn: 0.500 0.000 0.000
Cu: 0.500 0.500 0.500

Largest 12 diffraction maxima, by intensity, 2θ = 5–70°:
| hkl | Position (°2θ) | I (rel.) |
| --- | --- | --- |
| 1 1 1 | 31.3 | 100 |
| 2 0 0 | 37.6 | 43 |
| 2 0 2 | 51.2 | 33 |
| 0 0 2 | 33.5 | 30 |
| 3 1 1 | 63.9 | 23 |
| 2 2 2 | 65.2 | 15 |
| 1 1 3 | 58.5 | 15 |
| 2 2 0 | 54.2 | 14 |
| 1 0 0 | 18.5 | 7 |
| 1 1 0 | 26.3 | 6 |
| 1 1 2 | 43.1 | 4 |
| 1 0 2 | 38.5 | 2 |

=====

What did the first record say?
NaMnCuP: calculated powder X-ray diffraction pattern (Cu Kα (λ = 1.5418 Å)), based on a structure optimized by DFT (PBE).
Neutral-atom scattering factors, no anomalous dispersion.

Crystal structure
Unit cell a=3.592 b=3.592 c=10.914 alpha=90.00 beta=90.00 gamma=90.00
Sites, in units of the cell vectors:
Na: 0.250 0.250 0.231
Na: 0.750 0.750 0.769
Mn: 0.250 0.750 0.500
Mn: 0.750 0.250 0.500
Cu: 0.250 0.750 0.000
Cu: 0.750 0.250 0.000
P: 0.250 0.250 0.627
P: 0.750 0.750 0.373

Largest 12 diffraction maxima, by intensity, 2θ = 5–70°:
| hkl | Position (°2θ) | I (rel.) |
| --- | --- | --- |
| 0 0 2 | 16.2 | 100 |
| 1 1 2 | 39.1 | 94 |
| 1 1 4 | 49.0 | 37 |
| 2 0 0 | 50.8 | 30 |
| 0 0 4 | 32.8 | 23 |
| 1 1 6 | 62.8 | 18 |
| 2 0 2 | 53.7 | 16 |
| 1 1 0 | 35.3 | 14 |
| 2 0 4 | 61.8 | 13 |
| 1 0 2 | 29.8 | 12 |
| 1 0 3 | 35.1 | 11 |
| 0 0 6 | 50.2 | 6 |

=====

Please write out number 1 again, unchanged.
NaMnCuP: calculated powder X-ray diffraction pattern (Cu Kα (λ = 1.5418 Å)), based on a structure optimized by DFT (PBE).
Neutral-atom scattering factors, no anomalous dispersion.

Crystal structure
Unit cell a=3.592 b=3.592 c=10.914 alpha=90.00 beta=90.00 gamma=90.00
Sites, in units of the cell vectors:
Na: 0.250 0.250 0.231
Na: 0.750 0.750 0.769
Mn: 0.250 0.750 0.500
Mn: 0.750 0.250 0.500
Cu: 0.250 0.750 0.000
Cu: 0.750 0.250 0.000
P: 0.250 0.250 0.627
P: 0.750 0.750 0.373

Largest 12 diffraction maxima, by intensity, 2θ = 5–70°:
| hkl | Position (°2θ) | I (rel.) |
| --- | --- | --- |
| 0 0 2 | 16.2 | 100 |
| 1 1 2 | 39.1 | 94 |
| 1 1 4 | 49.0 | 37 |
| 2 0 0 | 50.8 | 30 |
| 0 0 4 | 32.8 | 23 |
| 1 1 6 | 62.8 | 18 |
| 2 0 2 | 53.7 | 16 |
| 1 1 0 | 35.3 | 14 |
| 2 0 4 | 61.8 | 13 |
| 1 0 2 | 29.8 | 12 |
| 1 0 3 | 35.1 | 11 |
| 0 0 6 | 50.2 | 6 |